Diffraction record for Dy2FeSbO7. The powder X-ray diffraction pattern is theoretical, not measured: it uses a crystal structure in Alexandria, relaxed with PBE+U and Cu Ka.
Neutral-atom scattering factors, no anomalous dispersion.

```
data_Dy2FeSbO7
_space_group_name_H-M_alt 'I m m a'
_space_group_IT_number 74
_space_group_name_Hall '-I 2b 2'
_cell_length_a 7.2583
_cell_length_b 7.3649
_cell_length_c 10.3026
_cell_angle_alpha 90.00
_cell_angle_beta 90.00
_cell_angle_gamma 90.00
loop_
_atom_site_label
_atom_site_type_symbol
_atom_site_fract_x
_atom_site_fract_y
_atom_site_fract_z
Dy1 Dy 0.0000 0.0000 0.0000
Dy2 Dy 0.2500 0.2500 0.2500
Fe1 Fe 0.2500 0.2500 0.7500
Sb1 Sb 0.0000 0.0000 0.5000
O1 O 0.0000 0.2500 0.1271
O2 O 0.0000 0.2500 0.4196
O3 O 0.0000 0.2500 0.8401
O4 O 0.2048 0.0352 0.6259
```

Top 6 peaks for 10° ≤ 2θ ≤ 90°, in order of rising 2θ:
h k l  d (Å)  Position (°2θ)  Rel. int.
0 2 2  2.996  29.82  100
2 0 2  2.967  30.12  99
2 2 0  2.585  34.70  43
2 2 4  1.824  49.99  63
2 4 2  1.564  59.05  29
4 2 2  1.552  59.56  42